The following is a simulated powder XRD pattern of PmAlNi5. It was derived from a DFT-relaxed cell (PBE, Alexandria), using Cu Kα, 1.54184 Å.

Structural model:
Cell: 7.944 4.853 10.068 Å, 90.00 90.00 90.00°
Space group Pnma (No. 62)
Inequivalent atoms, fractional coordinates:
Pm (0.247, 0.250, 0.058) (multiplicity 4)
Al (0.143, 0.750, 0.857) (multiplicity 4)
Ni (0.052, 0.750, 0.095) (multiplicity 4)
Ni (0.066, 0.005, 0.305) (multiplicity 8)
Ni (0.096, 0.250, 0.516) (multiplicity 4)
Ni (0.186, 0.250, 0.751) (multiplicity 4)

Largest 6 diffraction maxima, most intense first, 10 to 90 degrees two-theta:
d [Å], I/Imax, index
2.266, 100, 3 1 1
2.399, 27, 1 0 4
1.950, 26, 1 0 5
1.909, 21, 1 2 3
2.186, 19, 0 2 2
1.368, 18, 3 3 1